Diffraction record for Y4Sc2Co3C3. The PXRD pattern is theoretical, not measured: it uses a crystal structure in OQMD, relaxed with GGA-PBE and Cu Ka.
No peak broadening, texture or thermal motion is included.

Atomic structure:
```
data_Y4Sc2Co3C3
_cell_length_a 10.745
_cell_length_b 6.029
_cell_length_c 14.022
_cell_angle_alpha 90.00
_cell_angle_beta 104.42
_cell_angle_gamma 90.00
_space_group_name_H-M_alt 'C 1 2/c 1'
_space_group_IT_number 15
_space_group_name_Hall '-C 2yc'
loop_
_atom_site_label
_atom_site_fract_x
_atom_site_fract_y
_atom_site_fract_z
_atom_site_occupancy
Y1 0.115 0.090 0.101 1
Y2 0.214 0.089 0.398 1
Sc1 0.056 0.426 0.911 1
Co1 0.000 0.294 0.250 1
Co2 0.180 0.450 0.251 1
C1 0.080 0.262 0.505 1
C2 0.250 0.250 0.000 1
```

Largest 6 diffraction maxima, low angle first, 2θ from 10° to 80°:
2theta	I_rel
17.4	38.7
35.2	93.9
35.3	100.0
35.8	97.6
39.8	42.1
52.2	50.1